Record 1
Theoretical powder XRD pattern
Compound: AlGa2Sb2
Radiation: Cu Kα X-rays
Structure: a cell relaxed with PBE

Main lines, low angle first (10° ≤ 2θ ≤ 80°):
16.11°, rel. 20
34.99°, rel. 100
36.52°, rel. 28
47.95°, rel. 10
49.71°, rel. 10
54.29°, rel. 13
61.74°, rel. 12
69.63°, rel. 16

Atomic structure:
Cell lengths 7.7810, 7.7810, 3.7946 Å; angles 90.00, 90.00, 90.00 degrees
Space group P4/mbm (No. 127)
Symmetry-distinct sites (fractional):
Al (0.0000, 0.0000, 0.0000) x2
Ga (0.1351, 0.3649, 0.0000) x4
Sb (0.1631, 0.6631, 0.5000) x4



Record 2
Theoretical powder XRD pattern
Compound: AlGaSbTe2
Radiation: Cu Kα X-rays
Structure: a cell relaxed with PBE

Main lines, low angle first (10° ≤ 2θ ≤ 80°):
28.78°, rel. 100
32.89°, rel. 45
34.25°, rel. 20
47.20°, rel. 16
48.22°, rel. 30
56.23°, rel. 30
58.02°, rel. 14
59.60°, rel. 16

Atomic structure:
Cell lengths 5.4464, 5.4464, 5.2357 Å; angles 90.00, 90.00, 90.00 degrees
Space group P4/mmm (No. 123)
Symmetry-distinct sites (fractional):
Al (0.0000, 0.0000, 0.0000) x1
Ga (0.5000, 0.5000, 0.5000) x1
Sb (0.0000, 0.0000, 0.5000) x1
Te (0.0000, 0.5000, 0.0000) x2



Record 3
Theoretical powder XRD pattern
Compound: ScAl3Ga
Radiation: Cu Kα X-rays
Structure: a cell relaxed with PBE

Main lines, low angle first (10° ≤ 2θ ≤ 80°):
10.04°, rel. 87
17.57°, rel. 100
22.67°, rel. 38
34.03°, rel. 61
39.69°, rel. 58
41.28°, rel. 68
46.34°, rel. 41
53.40°, rel. 30

Atomic structure:
Cell lengths 5.2694, 5.2694, 17.6167 Å; angles 90.00, 90.00, 90.00 degrees
Space group I-4m2 (No. 119)
Symmetry-distinct sites (fractional):
Sc (0.0000, 0.0000, 0.2175) x4
Al (0.0000, 0.2494, 0.6264) x8
Al (0.0000, 0.5000, 0.1592) x4
Ga (0.0000, 0.0000, 0.5000) x2
Ga (0.0000, 0.5000, 0.7500) x2



Record 4
Theoretical powder XRD pattern
Compound: Sc2Al3Ga
Radiation: Cu Kα X-rays
Structure: a cell relaxed with PBE

Main lines, low angle first (10° ≤ 2θ ≤ 80°):
24.41°, rel. 14
36.67°, rel. 100
40.50°, rel. 80
55.77°, rel. 27
58.13°, rel. 9
71.17°, rel. 25
73.24°, rel. 25
73.68°, rel. 13

Atomic structure:
Cell lengths 6.3476, 8.9070, 15.4323 Å; angles 90.00, 90.00, 90.00 degrees
Space group Fmmm (No. 69)
Symmetry-distinct sites (fractional):
Sc (0.2494, 0.0000, 0.0000) x8
Sc (0.2500, 0.2500, 0.2500) x8
Al (0.0000, 0.0000, 0.3326) x8
Al (0.0000, 0.2489, 0.0838) x16
Ga (0.0000, 0.0000, 0.1668) x8



Number 1 is which compound?
AlGa2Sb2